[1]
# Ho5Pd6
Simulated powder X-ray diffraction pattern, Cu Kα. Input: a cell relaxed with GGA-PBE.
Peak positions follow from Bragg's law for the DFT cell and can differ from measured ones.

Peak list (12 most intense, 10 to 90 degrees two-theta, in order of falling intensity)
2θ/deg, I/Imax
36.66, 100
37.11, 27
37.28, 21
66.59, 17
53.62, 15
33.47, 11
66.82, 11
14.00, 9
52.00, 8
65.59, 8
44.72, 8
77.94, 8

Cell and atoms:
```
11
Lattice="-2.4228 3.5174 7.2362 2.4228 -3.5174 7.2362 2.4228 3.5174 -7.2362" Properties=species:S:1:pos:R:3 pbc="T T T"
Ho 0.0000 0.0000 0.0000
Ho 2.4228 0.0000 2.5326
Ho 0.0000 0.0000 5.1790
Ho 0.0000 0.0000 9.2934
Ho 0.0000 3.5174 4.7035
Pd 2.4228 -1.9048 4.6734
Pd 2.4228 1.5157 0.0000
Pd 0.0000 1.6126 2.5628
Pd 2.4228 1.9048 4.6734
Pd 0.0000 2.0017 7.2362
Pd 0.0000 5.4222 2.5628
```



[2]
# Pm3HoPd3
Simulated powder X-ray diffraction pattern, Cu Kα. Input: a cell relaxed with GGA-PBE.
Peak positions follow from Bragg's law for the DFT cell and can differ from measured ones.

Peak list (12 most intense, 10 to 90 degrees two-theta, in order of falling intensity)
2θ/deg, I/Imax
35.16, 100
33.70, 62
31.78, 54
29.77, 53
31.92, 41
37.02, 41
53.61, 30
38.37, 30
27.48, 24
28.06, 23
42.09, 19
40.76, 19

Cell and atoms:
```
14
Lattice="4.6950 -5.3195 0.0000 4.6950 5.3195 0.0000 -0.2424 0.0000 7.2208" Properties=species:S:1:pos:R:3 pbc="T T T"
Pm 4.6950 3.4499 0.0000
Pm 4.5738 2.6186 3.6104
Pm 3.2237 0.0000 0.9412
Pm 5.9238 0.0000 6.2796
Pm 4.5738 -2.6186 3.6104
Pm 4.6950 -3.4499 0.0000
Ho 2.2459 0.0000 4.5124
Ho 6.9017 0.0000 2.7084
Pd 2.2590 2.5299 5.6462
Pd 0.5149 0.0000 2.2573
Pd 2.2590 -2.5299 5.6462
Pd 6.8886 2.5299 1.5747
Pd 8.6327 0.0000 4.9635
Pd 6.8886 -2.5299 1.5747
```



[3]
# Pm2Ho2Pd15
Simulated powder X-ray diffraction pattern, Cu Kα. Input: a cell relaxed with GGA-PBE.
Peak positions follow from Bragg's law for the DFT cell and can differ from measured ones.

Peak list (12 most intense, 10 to 90 degrees two-theta, in order of falling intensity)
2θ/deg, I/Imax
38.79, 100
39.00, 96
43.63, 89
33.61, 57
33.81, 51
38.13, 38
70.65, 33
39.18, 33
43.04, 31
69.34, 24
27.55, 23
63.57, 18

Cell and atoms:
```
19
Lattice="4.6186 2.6666 4.7207 -4.6186 2.6666 4.7207 0.0000 -5.3331 4.7207" Properties=species:S:1:pos:R:3 pbc="T T T"
Pm 0.0000 0.0000 1.9674
Pm 0.0000 0.0000 12.1948
Ho 0.0000 0.0000 5.5479
Ho 0.0000 0.0000 8.6143
Pd -2.3093 -1.3333 4.7207
Pd 0.0000 -2.7138 4.5278
Pd -2.3503 1.3569 4.5278
Pd -1.4134 -2.4480 7.0811
Pd -2.8267 0.0000 7.0811
Pd -2.3502 -1.3569 9.6344
Pd -2.3093 1.3333 9.4415
Pd 1.4133 -2.4480 7.0811
Pd 0.0000 2.6665 4.7207
Pd -1.4133 2.4480 7.0811
Pd 2.3502 1.3569 4.5278
Pd 2.8267 0.0000 7.0811
Pd 1.4133 2.4480 7.0811
Pd 2.3502 -1.3569 9.6345
Pd 0.0000 2.7138 9.6345
```



[4]
# PrHoZnPd
Simulated powder X-ray diffraction pattern, Cu Kα. Input: a cell relaxed with GGA-PBE.
Peak positions follow from Bragg's law for the DFT cell and can differ from measured ones.

Peak list (11 most intense, 10 to 90 degrees two-theta, in order of falling intensity)
2θ/deg, I/Imax
35.18, 100
63.12, 36
50.60, 18
85.02, 16
74.37, 11
24.68, 8
57.08, 3
43.44, 2
21.33, 2
79.74, 2
41.51, 1

Cell and atoms:
```
16
Lattice="7.2155 0.0000 0.0000 0.0000 7.2155 0.0000 0.0000 0.0000 7.2155" Properties=species:S:1:pos:R:3 pbc="T T T"
Pr 0.0000 0.0000 0.0000
Pr 0.0000 3.6078 3.6078
Pr 3.6078 0.0000 3.6078
Pr 3.6078 3.6078 0.0000
Ho 0.0000 0.0000 3.6078
Ho 0.0000 3.6078 0.0000
Ho 3.6078 0.0000 0.0000
Ho 3.6078 3.6078 3.6078
Zn 1.8039 1.8039 5.4117
Zn 1.8039 5.4117 1.8039
Zn 5.4117 1.8039 1.8039
Zn 5.4117 5.4117 5.4117
Pd 1.8039 1.8039 1.8039
Pd 1.8039 5.4117 5.4117
Pd 5.4117 1.8039 5.4117
Pd 5.4117 5.4117 1.8039
```



[5]
# HoPd6Pt6
Simulated powder X-ray diffraction pattern, Cu Kα. Input: a cell relaxed with GGA-PBE.
Peak positions follow from Bragg's law for the DFT cell and can differ from measured ones.

Peak list (12 most intense, 10 to 90 degrees two-theta, in order of falling intensity)
2θ/deg, I/Imax
39.21, 100
44.18, 95
39.36, 84
39.86, 43
19.62, 41
44.26, 37
57.15, 32
39.58, 28
44.66, 25
72.03, 24
71.11, 22
27.67, 17

Cell and atoms:
```
13
Lattice="-2.6576 4.5235 4.5890 2.6576 -4.5235 4.5890 2.6576 4.5235 -4.5890" Properties=species:S:1:pos:R:3 pbc="T T T"
Ho 0.0000 0.0000 0.0000
Pd 2.6576 0.0000 1.8055
Pd 0.0000 3.1059 0.0000
Pd 0.0000 0.0000 3.1727
Pd 0.0000 0.0000 6.0053
Pd 0.0000 5.9412 0.0000
Pd 0.0000 4.5235 2.7835
Pt 1.3288 2.2618 -2.2945
Pt 1.3288 -2.2618 2.2945
Pt 2.6576 2.0690 0.0000
Pt -1.3288 2.2618 2.2945
Pt 1.3288 2.2618 2.2945
Pt 0.0000 2.4546 4.5890
```



[6]
# Ho2Pd6Pt
Simulated powder X-ray diffraction pattern, Cu Kα. Input: a cell relaxed with GGA-PBE.
Peak positions follow from Bragg's law for the DFT cell and can differ from measured ones.

Peak list (12 most intense, 10 to 90 degrees two-theta, in order of falling intensity)
2θ/deg, I/Imax
37.89, 100
42.91, 18
42.43, 16
46.65, 14
75.28, 13
61.93, 11
74.60, 11
80.67, 11
65.24, 10
80.97, 10
64.88, 9
15.17, 5

Cell and atoms:
```
9
Lattice="0.0000 5.8408 6.3915 2.1076 0.0000 6.3915 2.1076 5.8408 0.0000" Properties=species:S:1:pos:R:3 pbc="T T T"
Ho 2.1076 5.8408 1.8952
Ho 2.1076 5.8408 10.8878
Pd 2.1076 3.8911 4.2229
Pd 2.1076 2.0455 6.3915
Pd 2.1076 7.7905 4.2229
Pd 2.1076 3.8911 8.5601
Pd 2.1076 9.6360 6.3915
Pd 2.1076 7.7905 8.5601
Pt 2.1076 5.8408 6.3915
```



[7]
# HoPd2Pt6
Simulated powder X-ray diffraction pattern, Cu Kα. Input: a cell relaxed with GGA-PBE.
Peak positions follow from Bragg's law for the DFT cell and can differ from measured ones.

Peak list (12 most intense, 10 to 90 degrees two-theta, in order of falling intensity)
2θ/deg, I/Imax
38.18, 100
42.86, 79
34.70, 51
45.64, 30
45.94, 30
81.92, 17
75.40, 13
69.93, 12
70.16, 12
78.63, 12
79.06, 12
81.70, 11

Cell and atoms:
```
9
Lattice="3.1771 -6.3293 0.0000 3.1771 6.3293 0.0000 -1.2463 0.0000 3.8007" Properties=species:S:1:pos:R:3 pbc="T T T"
Ho 0.0000 0.0000 0.0000
Pd 2.5540 4.3083 1.9004
Pd 2.5540 -4.3083 1.9004
Pt 1.9641 2.0166 0.6169
Pt 1.3101 0.0000 2.5305
Pt 1.9641 -2.0166 0.6169
Pt 3.1439 2.0166 3.1838
Pt 3.7979 0.0000 1.2702
Pt 3.1439 -2.0166 3.1838
```



[8]
# Ho2PdPt3
Simulated powder X-ray diffraction pattern, Cu Kα. Input: a cell relaxed with GGA-PBE.
Peak positions follow from Bragg's law for the DFT cell and can differ from measured ones.

Peak list (12 most intense, 10 to 90 degrees two-theta, in order of falling intensity)
2θ/deg, I/Imax
39.20, 100
35.46, 75
40.84, 42
39.02, 37
37.41, 33
56.58, 20
42.20, 17
73.26, 16
77.70, 16
51.09, 15
19.17, 14
67.38, 13

Cell and atoms:
```
24
Lattice="0.0000 9.2647 4.4192 5.6235 0.0000 4.4192 5.6235 9.2647 0.0000" Properties=species:S:1:pos:R:3 pbc="T T T"
Ho 9.8690 7.4315 4.4192
Ho 4.1897 2.7992 2.2096
Ho 7.0372 11.0458 4.3691
Ho 1.4338 6.4655 2.2096
Ho 9.8489 12.1159 6.5787
Ho 4.2098 7.4836 4.3691
Ho 7.0216 15.6781 6.5787
Ho 1.3780 11.0979 4.4192
Pd 7.0312 8.2615 4.3953
Pd 9.8430 14.9002 6.6049
Pd 4.2158 10.2679 4.3953
Pd 7.0275 12.8938 6.6049
Pt 4.2305 5.5809 2.1866
Pt 9.8282 10.2133 4.3962
Pt 5.6235 9.2647 2.1958
Pt 5.6319 4.6765 4.3953
Pt 1.3929 3.6837 2.1866
Pt 2.8117 4.6323 4.4054
Pt 8.4268 9.3089 6.6049
Pt 5.6151 13.8528 4.3953
Pt 5.6235 9.2647 6.5960
Pt 1.4188 8.3161 4.3962
Pt 2.8201 9.2205 6.6049
Pt 8.4352 13.8970 8.8056
```



[9]
# Ho2Pd3Pt3
Simulated powder X-ray diffraction pattern, Cu Kα. Input: a cell relaxed with GGA-PBE.
Peak positions follow from Bragg's law for the DFT cell and can differ from measured ones.

Peak list (12 most intense, 10 to 90 degrees two-theta, in order of falling intensity)
2θ/deg, I/Imax
37.92, 100
43.76, 17
44.14, 16
44.33, 16
76.50, 13
77.05, 13
77.32, 13
81.07, 11
63.90, 11
64.05, 11
64.34, 11
21.75, 2

Cell and atoms:
```
8
Lattice="4.0867 0.0000 0.0000 0.0000 4.1038 0.0000 0.0000 0.0000 8.2752" Properties=species:S:1:pos:R:3 pbc="T T T"
Ho 0.0000 0.0000 2.0693
Ho 0.0000 0.0000 6.2059
Pd 2.0433 0.0000 0.0000
Pd 2.0433 2.0519 2.0643
Pd 2.0433 2.0519 6.2110
Pt 0.0000 2.0519 0.0000
Pt 0.0000 2.0519 4.1376
Pt 2.0433 0.0000 4.1376
```



[10]
# Ho3Pd5Pt
Simulated powder X-ray diffraction pattern, Cu Kα. Input: a cell relaxed with GGA-PBE.
Peak positions follow from Bragg's law for the DFT cell and can differ from measured ones.

Peak list (12 most intense, 10 to 90 degrees two-theta, in order of falling intensity)
2θ/deg, I/Imax
38.99, 100
35.71, 94
40.77, 47
37.30, 41
39.19, 34
56.44, 25
27.35, 21
77.27, 20
42.55, 20
73.02, 16
51.27, 15
60.40, 14

Cell and atoms:
```
18
Lattice="6.6402 -4.5827 0.0000 6.6402 4.5827 0.0000 0.0000 0.0000 5.6698" Properties=species:S:1:pos:R:3 pbc="T T T"
Ho 4.4703 1.7278 1.4175
Ho 6.6402 2.8026 4.2524
Ho 8.8101 1.7278 1.4175
Ho 4.4703 -1.7278 4.2524
Ho 6.6402 -2.8026 1.4175
Ho 8.8101 -1.7278 4.2524
Pd 6.6402 3.5861 1.4175
Pd 2.2122 0.0000 0.0000
Pd 2.2122 0.0000 2.8349
Pd 4.4063 1.0436 4.2524
Pd 4.4063 -1.0436 1.4175
Pd 8.8741 1.0436 4.2524
Pd 8.8741 -1.0436 1.4175
Pd 11.0682 0.0000 0.0000
Pd 11.0682 0.0000 2.8349
Pd 6.6402 -3.5861 4.2524
Pt 6.6402 0.0000 0.0000
Pt 6.6402 0.0000 2.8349
```



[11]
# Ho6Pd5Pt
Simulated powder X-ray diffraction pattern, Cu Kα. Input: a cell relaxed with GGA-PBE.
Peak positions follow from Bragg's law for the DFT cell and can differ from measured ones.

Peak list (12 most intense, 10 to 90 degrees two-theta, in order of falling intensity)
2θ/deg, I/Imax
36.44, 100
36.55, 99
36.17, 51
36.29, 50
65.86, 35
65.16, 18
65.36, 18
52.01, 18
65.31, 18
65.52, 18
52.33, 18
52.97, 17

Cell and atoms:
```
12
Lattice="4.9674 0.0000 0.0000 0.0000 6.9146 0.0000 -2.4417 0.0000 7.4269" Properties=species:S:1:pos:R:3 pbc="T T T"
Ho 0.0000 1.7087 0.0000
Ho 0.0000 5.2059 0.0000
Ho 0.0286 1.7238 4.9707
Ho 0.0286 5.1908 4.9707
Ho 2.4971 1.7238 2.4562
Ho 2.4971 5.1908 2.4562
Pd 0.0130 3.4573 2.4566
Pd 0.0144 0.0000 2.5387
Pd 2.4837 3.4573 0.0000
Pd 2.5113 0.0000 4.8882
Pd 2.5128 3.4573 4.9703
Pt 2.4837 0.0000 0.0000
```



[12]
# HoPd6Pt23
Simulated powder X-ray diffraction pattern, Cu Kα. Input: a cell relaxed with GGA-PBE.
Peak positions follow from Bragg's law for the DFT cell and can differ from measured ones.

Peak list (12 most intense, 10 to 90 degrees two-theta, in order of falling intensity)
2θ/deg, I/Imax
39.57, 100
45.80, 33
80.49, 25
67.28, 21
46.44, 16
81.42, 12
85.21, 11
66.78, 11
25.20, 9
22.74, 3
31.94, 3
41.46, 2

Cell and atoms:
```
30
Lattice="-3.9622 3.9622 7.8219 3.9622 -3.9622 7.8219 3.9622 3.9622 -7.8219" Properties=species:S:1:pos:R:3 pbc="T T T"
Ho 0.0000 0.0000 0.0000
Pd 0.0000 0.0000 3.8806
Pd 1.9925 1.9925 0.0000
Pd 1.9697 -1.9697 7.8219
Pd -1.9697 1.9697 7.8219
Pd 1.9697 1.9697 7.8219
Pd 0.0000 0.0000 11.7632
Pt 1.9811 1.9811 -3.9110
Pt 1.9811 -1.9811 3.9110
Pt 3.9622 0.0000 0.0000
Pt 3.9622 1.9714 -2.0034
Pt 3.9622 -1.8966 5.7785
Pt 2.0656 0.0000 2.0434
Pt 5.8587 0.0000 2.0434
Pt 1.9714 3.9622 -2.0034
Pt 1.9908 0.0000 5.8185
Pt 3.9622 1.9714 2.0034
Pt 0.0000 2.0656 2.0434
Pt -1.9811 1.9811 3.9110
Pt 0.0000 3.9622 0.0000
Pt 0.0000 0.0000 7.8219
Pt 1.9811 1.9811 3.9110
Pt 3.9622 1.8966 5.7785
Pt 0.0000 1.9908 5.8185
Pt 1.9714 3.9622 2.0034
Pt 1.9908 0.0000 9.8254
Pt -1.8966 3.9622 5.7785
Pt 1.8966 3.9622 5.7785
Pt 0.0000 5.8587 2.0434
Pt 0.0000 1.9908 9.8254
```



Copy entry 8 word for word.
# Ho2PdPt3
Simulated powder X-ray diffraction pattern, Cu Kα. Input: a cell relaxed with GGA-PBE.
Peak positions follow from Bragg's law for the DFT cell and can differ from measured ones.

Peak list (12 most intense, 10 to 90 degrees two-theta, in order of falling intensity)
2θ/deg, I/Imax
39.20, 100
35.46, 75
40.84, 42
39.02, 37
37.41, 33
56.58, 20
42.20, 17
73.26, 16
77.70, 16
51.09, 15
19.17, 14
67.38, 13

Cell and atoms:
```
24
Lattice="0.0000 9.2647 4.4192 5.6235 0.0000 4.4192 5.6235 9.2647 0.0000" Properties=species:S:1:pos:R:3 pbc="T T T"
Ho 9.8690 7.4315 4.4192
Ho 4.1897 2.7992 2.2096
Ho 7.0372 11.0458 4.3691
Ho 1.4338 6.4655 2.2096
Ho 9.8489 12.1159 6.5787
Ho 4.2098 7.4836 4.3691
Ho 7.0216 15.6781 6.5787
Ho 1.3780 11.0979 4.4192
Pd 7.0312 8.2615 4.3953
Pd 9.8430 14.9002 6.6049
Pd 4.2158 10.2679 4.3953
Pd 7.0275 12.8938 6.6049
Pt 4.2305 5.5809 2.1866
Pt 9.8282 10.2133 4.3962
Pt 5.6235 9.2647 2.1958
Pt 5.6319 4.6765 4.3953
Pt 1.3929 3.6837 2.1866
Pt 2.8117 4.6323 4.4054
Pt 8.4268 9.3089 6.6049
Pt 5.6151 13.8528 4.3953
Pt 5.6235 9.2647 6.5960
Pt 1.4188 8.3161 4.3962
Pt 2.8201 9.2205 6.6049
Pt 8.4352 13.8970 8.8056
```